Starting from a cell relaxed with PBE+U, the X-ray diffraction stick pattern of MoH8N3F6 was calculated for Cu Kα (λ = 1.5418 Å).

Structure:
Cell: 6.8078 6.8078 6.8078 Å, 60.00 60.00 60.00°
Fractional coordinates of all 18 atoms:
Mo  0.0000  0.0000  0.0000
H  0.1883  0.1883  0.1883
H  0.1883  0.1883  0.4352
H  0.1883  0.4352  0.1883
H  0.4352  0.1883  0.1883
H  0.5648  0.8117  0.8117
H  0.8117  0.5648  0.8117
H  0.8117  0.8117  0.5648
H  0.8117  0.8117  0.8117
N  0.2500  0.2500  0.2500
N  0.5000  0.5000  0.5000
N  0.7500  0.7500  0.7500
F  0.2073  0.2073  0.7927
F  0.2073  0.7927  0.2073
F  0.2073  0.7927  0.7927
F  0.7927  0.2073  0.2073
F  0.7927  0.2073  0.7927
F  0.7927  0.7927  0.2073

Largest 12 diffraction maxima, by angle, 10° ≤ 2θ ≤ 90°:
- 2θ = 15.94°, 5.559 Å, intensity 100
- 2θ = 18.43°, 4.814 Å, intensity 56
- 2θ = 26.18°, 3.404 Å, intensity 48
- 2θ = 30.80°, 2.903 Å, intensity 24
- 2θ = 37.36°, 2.407 Å, intensity 35
- 2θ = 41.97°, 2.153 Å, intensity 22
- 2θ = 46.19°, 1.965 Å, intensity 11
- 2θ = 49.17°, 1.853 Å, intensity 23
- 2θ = 53.87°, 1.702 Å, intensity 17
- 2θ = 56.55°, 1.627 Å, intensity 16
- 2θ = 60.85°, 1.522 Å, intensity 10
- 2θ = 69.76°, 1.348 Å, intensity 12